This entry pairs a crystal structure of GePt17 with its computed powder diffraction line list. Radiation: copper Kα. Structure: a crystal structure in OQMD, relaxed with PBE.
Lines closer than 0.1° are merged.

Largest 10 diffraction maxima, low angle first, 2θ = 10–90°:
36.9 deg, intensity 41; 39.0 deg, intensity 42; 39.7 deg, intensity 42; 39.8 deg, intensity 100; 39.9 deg, intensity 50; 44.7 deg, intensity 39; 46.3 deg, intensity 61; 46.4 deg, intensity 30; 64.9 deg, intensity 29; 81.2 deg, intensity 25

Structural model:
a = 4.7863 Å, b = 5.5523 Å, c = 34.0594 Å
α = 90.00°, β = 90.01°, γ = 90.00°
Element x y z (fractional)
Ge  0.1660  0.2500  0.2725
Ge  0.8340  0.7500  0.7275
Pt  0.0000  0.0000  0.0000
Pt  0.9997  0.0012  0.2059
Pt  0.9997  0.4988  0.2059
Pt  0.0000  0.5000  0.0000
Pt  0.0003  0.5012  0.7941
Pt  0.0003  0.9988  0.7941
Pt  0.1669  0.7500  0.0686
Pt  0.1668  0.7500  0.8629
Pt  0.1676  0.2500  0.0683
Pt  0.1680  0.2500  0.8636
Pt  0.1700  0.7500  0.2744
Pt  0.3321  0.0008  0.1371
Pt  0.3321  0.4992  0.1371
Pt  0.3328  0.0026  0.7257
Pt  0.3328  0.4974  0.7257
Pt  0.3330  0.5005  0.9315
Pt  0.3330  0.9995  0.9315
Pt  0.4967  0.2500  0.2065
Pt  0.4993  0.2500  0.7951
Pt  0.4994  0.7500  0.0001
Pt  0.5006  0.2500  0.9999
Pt  0.5007  0.7500  0.2049
Pt  0.5033  0.7500  0.7935
Pt  0.6670  0.0005  0.0685
Pt  0.6670  0.4995  0.0685
Pt  0.6672  0.5026  0.2743
Pt  0.6672  0.9974  0.2743
Pt  0.6679  0.5008  0.8629
Pt  0.6679  0.9992  0.8629
Pt  0.8300  0.2500  0.7256
Pt  0.8320  0.7500  0.1364
Pt  0.8324  0.7500  0.9317
Pt  0.8332  0.2500  0.1371
Pt  0.8331  0.2500  0.9314



This entry pairs a crystal structure of RbGe2Pt2 with its computed powder diffraction line list. Radiation: copper Kα. Structure: a crystal structure in OQMD, relaxed with PBE.
Lines closer than 0.1° are merged.

Largest 10 diffraction maxima, low angle first, 2θ = 10–90°:
13.0 deg, intensity 100; 26.2 deg, intensity 21; 28.6 deg, intensity 29; 30.1 deg, intensity 38; 34.4 deg, intensity 27; 38.0 deg, intensity 20; 42.2 deg, intensity 35; 44.3 deg, intensity 20; 48.7 deg, intensity 29; 51.7 deg, intensity 19

Structural model:
a = 7.5660 Å, b = 7.3724 Å, c = 4.3372 Å
α = 75.59°, β = 70.69°, γ = 33.72°
Element x y z (fractional)
Rb  0.0000  0.0000  0.0000
Ge  0.3438  0.3438  0.6562
Ge  0.6562  0.6562  0.3438
Pt  0.2500  0.2500  0.2500
Pt  0.7500  0.7500  0.7500



This entry pairs a crystal structure of Rb4GePtSe6 with its computed powder diffraction line list. Radiation: copper Kα. Structure: a crystal structure in OQMD, relaxed with PBE.
Lines closer than 0.1° are merged.

Largest 10 diffraction maxima, low angle first, 2θ = 10–90°:
13.2 deg, intensity 49; 14.5 deg, intensity 34; 14.6 deg, intensity 28; 15.6 deg, intensity 88; 25.4 deg, intensity 100; 26.0 deg, intensity 70; 26.6 deg, intensity 72; 29.6 deg, intensity 30; 30.2 deg, intensity 39; 38.7 deg, intensity 26

Structural model:
a = 7.0187 Å, b = 7.7108 Å, c = 9.8461 Å
α = 68.86°, β = 69.66°, γ = 63.62°
Element x y z (fractional)
Rb  0.0000  0.0000  0.0000
Rb  0.1904  0.3793  0.2430
Rb  0.4235  0.7191  0.4455
Rb  0.7622  0.6809  0.7892
Ge  0.4543  0.2597  0.8300
Pt  0.6967  0.1490  0.4655
Se  0.2757  0.5894  0.8504
Se  0.3440  0.2037  0.6411
Se  0.4805  0.9965  0.0428
Se  0.7227  0.3461  0.2119
Se  0.8062  0.2152  0.6452
Se  0.8933  0.8460  0.3811



This entry pairs a crystal structure of SiGePt2 with its computed powder diffraction line list. Radiation: copper Kα. Structure: a crystal structure in OQMD, relaxed with PBE.
Lines closer than 0.1° are merged.

Largest 10 diffraction maxima, low angle first, 2θ = 10–90°:
28.5 deg, intensity 89; 29.5 deg, intensity 26; 30.8 deg, intensity 36; 41.7 deg, intensity 54; 42.4 deg, intensity 100; 43.1 deg, intensity 33; 47.6 deg, intensity 26; 49.9 deg, intensity 24; 69.0 deg, intensity 18; 85.6 deg, intensity 18

Structural model:
a = 3.6531 Å, b = 5.8135 Å, c = 6.0631 Å
α = 90.00°, β = 90.00°, γ = 90.00°
Element x y z (fractional)
Si  0.0000  0.0664  0.0000
Si  0.5000  0.9336  0.5000
Ge  0.0000  0.5628  0.3307
Ge  0.5000  0.4372  0.8307
Pt  0.0000  0.2393  0.6087
Pt  0.0000  0.7634  0.7208
Pt  0.5000  0.2366  0.2208
Pt  0.5000  0.7607  0.1087